Computed powder diffraction line list of TaTl2AgS4 for copper Kα, from a cell relaxed with PBE.
Peak positions follow from Bragg's law for the DFT cell and can differ from measured ones.

```
data_TaTl2AgS4
_space_group_name_H-M_alt 'P 1 21/c 1'
_space_group_IT_number 14
_space_group_name_Hall '-P 2ybc'
_cell_length_a 8.127
_cell_length_b 10.620
_cell_length_c 13.005
_cell_angle_alpha 90.00
_cell_angle_beta 127.67
_cell_angle_gamma 90.00
loop_
_atom_site_label
_atom_site_fract_x
_atom_site_fract_y
_atom_site_fract_z
Ta1 0.076 0.226 0.453
Tl1 0.339 0.005 0.226
Tl2 0.397 0.729 0.503
Ag1 0.089 0.012 0.712
S1 0.120 0.235 0.644
S2 0.186 0.081 0.935
S3 0.271 0.690 0.215
S4 0.285 0.071 0.466
```

Most intense lines, 10 to 90 degrees two-theta, sorted by position:
| h k l | 2θ (°) | d_spacing | Rel. int. |
| --- | --- | --- | --- |
| 1 1 1 | 21.91 | 4.057 | 16.1 |
| 2 1 -2 | 23.44 | 3.795 | 35.4 |
| 0 2 2 | 24.08 | 3.696 | 100.0 |
| 2 1 -1 | 24.88 | 3.579 | 27.2 |
| 2 1 -3 | 25.14 | 3.542 | 25.4 |
| 1 0 -4 | 28.41 | 3.141 | 23.2 |
| 2 1 0 | 29.01 | 3.078 | 29.8 |
| 2 1 -4 | 29.47 | 3.031 | 19.5 |
| 2 3 -2 | 33.58 | 2.669 | 17.0 |
| 0 4 0 | 33.76 | 2.655 | 27.4 |
| 0 0 4 | 34.85 | 2.575 | 27.6 |
| 4 2 -6 | 51.60 | 1.771 | 20.3 |